Simulated XRD peak list of EuPdO3 for Cu Kα (weighted mean of Kα1 and Kα2), from a crystal structure in the Materials Project, relaxed with GGA-PBE.
No peak broadening, texture or thermal motion is included.

Crystal structure
```
data_EuPdO3
_space_group_name_H-M_alt 'P m -3 m'
_space_group_IT_number 221
_space_group_name_Hall '-P 4 2 3'
_cell_length_a 4.029
_cell_length_b 4.029
_cell_length_c 4.029
_cell_angle_alpha 90.00
_cell_angle_beta 90.00
_cell_angle_gamma 90.00
loop_
_atom_site_label
_atom_site_type_symbol
_atom_site_fract_x
_atom_site_fract_y
_atom_site_fract_z
Eu1 Eu 0.000 0.000 0.000
Pd1 Pd 0.500 0.500 0.500
O1 O 0.000 0.500 0.500
```

Main lines, sorted by position (2θ = 5–70°):
- 22.06 deg, rel. 1, (1 0 0)
- 31.40 deg, rel. 100, (1 1 0)
- 38.71 deg, rel. 6, (1 1 1)
- 45.00 deg, rel. 29, (2 0 0)
- 50.66 deg, rel. 1, (2 1 0)
- 55.89 deg, rel. 39, (2 1 1)
- 65.53 deg, rel. 18, (2 2 0)